Theoretical powder diffraction line list
Compound: TbPmPt10
Radiation: λ = 1.5418 Å (Cu Kα)
Structure: a PBE-relaxed structure

Structure:
a b c (Å): 4.4513 5.3975 9.2985
angles (deg): 90.00 90.00 90.00
Space group Pmmm (No. 47)
One atom of each set of equivalent atoms:
Tb: 0.0000 0.0000 0.0000
Pm: 0.0000 0.5000 0.5000
Pt: 0.0000 0.0000 0.3308
Pt: 0.0000 0.5000 0.1648
Pt: 0.5000 0.0000 0.5000
Pt: 0.5000 0.2494 0.2488
Pt: 0.5000 0.5000 0.0000

Largest 10 diffraction maxima, sorted by position, 5° ≤ 2θ ≤ 70°:
2theta	d_spacing	Rel. int.	hkl
19.04	4.662	45.6	0 0 2
33.34	2.688	17.2	0 1 3
38.57	2.334	28.1	0 2 2
39.03	2.308	50.5	1 2 0
39.15	2.301	100.0	1 1 3
40.53	2.226	53.0	2 0 0
43.80	2.067	52.6	1 2 2
43.94	2.061	25.7	1 0 4
57.19	1.611	18.1	2 2 2
63.32	1.469	24.8	1 3 3

***

Theoretical powder diffraction line list
Compound: TbPmPt2
Radiation: λ = 1.5418 Å (Cu Kα)
Structure: a PBE-relaxed structure

Structure:
a b c (Å): 4.5124 3.8472 10.7126
angles (deg): 90.00 90.00 90.00
Space group Amm2 (No. 38)
One atom of each set of equivalent atoms:
Tb: 0.0000 0.0000 0.0000
Pm: 0.5000 0.0000 0.7248
Pt: 0.0000 0.0000 0.2760
Pt: 0.5000 0.0000 0.4517

Largest 10 diffraction maxima, sorted by position, 5° ≤ 2θ ≤ 70°:
2theta	d_spacing	Rel. int.	hkl
31.68	2.824	100.0	1 1 1
33.46	2.678	31.0	0 0 4
39.11	2.303	24.6	1 0 4
39.82	2.264	84.5	1 1 3
39.96	2.256	33.8	2 0 0
47.25	1.924	21.0	0 2 0
53.07	1.726	16.9	2 0 4
59.13	1.562	12.2	0 2 4
62.96	1.476	12.4	1 2 4
63.56	1.464	17.4	2 2 0

***

Theoretical powder diffraction line list
Compound: Tb4Pm3Pt4
Radiation: λ = 1.5418 Å (Cu Kα)
Structure: a PBE-relaxed structure

Structure:
a b c (Å): 4.6071 7.8474 15.6648
angles (deg): 90.00 90.00 90.00
Space group Immm (No. 71)
One atom of each set of equivalent atoms:
Tb: 0.0000 0.2116 0.1706
Pm: 0.0000 0.0000 0.3991
Pm: 0.0000 0.5000 0.5000
Pt: 0.0000 0.3155 0.0000
Pt: 0.0000 0.5000 0.2915

Largest 10 diffraction maxima, sorted by position, 5° ≤ 2θ ≤ 70°:
2theta	d_spacing	Rel. int.	hkl
30.46	2.934	100.0	1 2 1
30.73	2.910	26.8	0 1 5
32.09	2.789	54.3	1 1 4
34.35	2.611	15.1	0 0 6
34.60	2.592	28.8	1 0 5
38.49	2.339	14.8	0 3 3
39.10	2.304	42.4	2 0 0
41.33	2.184	32.2	1 3 2
41.55	2.174	17.1	0 2 6
41.78	2.162	28.1	1 2 5

***

Theoretical powder diffraction line list
Compound: TbPmPt3
Radiation: λ = 1.5418 Å (Cu Kα)
Structure: a PBE-relaxed structure

Structure:
a b c (Å): 3.8720 27.0853 4.2681
angles (deg): 90.00 90.00 90.00
Space group Cmcm (No. 63)
One atom of each set of equivalent atoms:
Tb: 0.0000 0.2065 0.2500
Pm: 0.0000 0.0737 0.7500
Pt: 0.0000 0.3139 0.2500
Pt: 0.0000 0.3763 0.7500
Pt: 0.0000 0.4721 0.7500

Largest 10 diffraction maxima, sorted by position, 5° ≤ 2θ ≤ 70°:
2theta	d_spacing	Rel. int.	hkl
23.21	3.833	15.0	1 1 0
32.76	2.734	100.0	1 3 1
39.40	2.287	41.2	0 10 1
42.35	2.134	24.1	0 0 2
43.60	2.076	27.2	1 9 1
46.93	1.936	18.1	2 0 0
49.69	1.835	10.7	1 13 0
54.53	1.683	10.8	1 7 2
62.90	1.478	21.1	2 10 1
65.05	1.434	13.7	2 0 2

***

Theoretical powder diffraction line list
Compound: TbPmPt6
Radiation: λ = 1.5418 Å (Cu Kα)
Structure: a PBE-relaxed structure

Structure:
a b c (Å): 5.3423 5.3423 5.3423
angles (deg): 90.00 90.00 90.00
Space group Pm-3 (No. 200)
One atom of each set of equivalent atoms:
Tb: 0.0000 0.0000 0.0000
Pm: 0.5000 0.5000 0.5000
Pt: 0.0000 0.5000 0.2488

Largest 7 diffraction maxima, sorted by position, 5° ≤ 2θ ≤ 70°:
2theta	d_spacing	Rel. int.	hkl
23.55	3.778	1.6	1 1 0
33.55	2.671	27.4	2 0 0
37.65	2.389	100.0	2 0 1
41.40	2.181	61.9	2 1 1
59.98	1.542	10.7	2 2 2
62.70	1.482	23.0	3 2 0
65.36	1.428	32.4	3 2 1

***

Theoretical powder diffraction line list
Compound: Tb3PmPt8
Radiation: λ = 1.5418 Å (Cu Kα)
Structure: a PBE-relaxed structure

Structure:
a b c (Å): 5.4742 5.4742 8.9272
angles (deg): 90.00 90.00 120.00
Space group P3m1 (No. 156)
One atom of each set of equivalent atoms:
Tb: 0.0000 0.0000 0.0000
Tb: 0.0000 0.0000 0.3682
Tb: 0.3333 0.6667 0.8740
Pm: 0.3333 0.6667 0.5025
Pt: 0.0042 0.5021 0.1848
Pt: 0.3283 0.1642 0.6876
Pt: 0.6667 0.3333 0.4359
Pt: 0.6667 0.3333 0.9355

Largest 10 diffraction maxima, sorted by position, 5° ≤ 2θ ≤ 70°:
2theta	d_spacing	Rel. int.	hkl
32.72	2.737	21.2	1 1 0
35.62	2.520	63.1	1 0 3
38.59	2.333	100.0	1 1 2
39.33	2.291	98.0	0 2 1
40.42	2.232	23.1	0 0 4
43.21	2.094	28.8	2 0 2
60.29	1.535	25.6	2 1 3
62.34	1.489	29.4	0 0 6
65.44	1.426	32.9	0 2 5
68.57	1.369	30.7	2 2 0

***

Theoretical powder diffraction line list
Compound: Pm5Te2Pt2
Radiation: λ = 1.5418 Å (Cu Kα)
Structure: a PBE-relaxed structure

Structure:
a b c (Å): 15.9352 8.0168 8.0413
angles (deg): 90.00 90.00 90.00
Space group Cmce (No. 64)
One atom of each set of equivalent atoms:
Pm: 0.0000 0.0000 0.0000
Pm: 0.1211 0.1588 0.3415
Te: 0.2051 0.0000 0.0000
Pt: 0.0000 0.1387 0.6339

Largest 10 diffraction maxima, sorted by position, 5° ≤ 2θ ≤ 70°:
2theta	d_spacing	Rel. int.	hkl
11.10	7.968	54.8	2 0 0
30.02	2.977	63.7	3 1 2
31.52	2.839	20.6	0 2 2
31.64	2.828	31.3	4 0 2
32.21	2.779	20.5	5 1 1
33.62	2.666	73.3	4 2 1
35.81	2.507	100.0	1 3 1
37.73	2.385	42.2	5 1 2
50.86	1.795	17.3	0 2 4
64.12	1.452	25.1	9 3 1

***

Theoretical powder diffraction line list
Compound: Pm2ThPt2
Radiation: λ = 1.5418 Å (Cu Kα)
Structure: a PBE-relaxed structure

Structure:
a b c (Å): 8.0220 10.8780 6.5251
angles (deg): 90.00 90.00 90.00
Space group Ibam (No. 72)
One atom of each set of equivalent atoms:
Pm: 0.1324 0.1505 0.0000
Th: 0.0000 0.5000 0.2500
Pt: 0.2282 0.1078 0.5000

Largest 10 diffraction maxima, sorted by position, 5° ≤ 2θ ≤ 70°:
2theta	d_spacing	Rel. int.	hkl
16.30	5.439	23.7	0 2 0
26.99	3.304	62.3	1 3 0
27.34	3.262	52.2	0 0 2
30.70	2.912	68.2	1 1 2
34.54	2.597	40.0	3 1 0
35.47	2.531	62.2	2 0 2
40.04	2.252	100.0	2 4 0
43.31	2.089	60.9	0 4 2
50.82	1.796	31.4	3 3 2
61.94	1.498	27.1	5 2 1